No. 1
Diffraction record for SmI3. The XRD peak list is computed, not measured: it uses a DFT-relaxed cell (GGA-PBE, the Materials Project) and a wavelength of 1.5418 Å.
Intensities are scaled so that the largest is 100.

Principal peaks in the range 10° ≤ 2θ ≤ 80°, by angle:
hkl 2 0 0, 2θ = 18.14°, intensity 64
hkl 2 1 0, 2θ = 24.07°, intensity 27
hkl 2 0 1, 2θ = 28.46°, intensity 100
hkl 2 1 1, 2θ = 32.66°, intensity 29
hkl 3 0 1, 2θ = 35.21°, intensity 47
hkl 3 1 1, 2θ = 39.89°, intensity 34
hkl 3 3 0, 2θ = 48.33°, intensity 33
hkl 5 1 1, 2θ = 57.07°, intensity 25

Cell and atoms:
```
data_SmI3
_chemical_formula_sum 'Sm2 I6'
_cell_length_a 11.2941
_cell_length_b 11.2941
_cell_length_c 4.0868
_cell_angle_alpha 90.00
_cell_angle_beta 90.00
_cell_angle_gamma 120.00
_space_group_name_H-M_alt 'P 63/m m c'
_space_group_IT_number 194
_space_group_name_Hall '-P 6c 2c'
loop_
_atom_site_label
_atom_site_type_symbol
_atom_site_fract_x
_atom_site_fract_y
_atom_site_fract_z
Sm1 Sm 0.3333 0.6667 0.2500
I1 I 0.2126 0.4251 0.7500
```

---

No. 2
Diffraction record for BiF3. The XRD peak list is computed, not measured: it uses a DFT-relaxed cell (GGA-PBE, the Materials Project) and a wavelength of 1.5418 Å.
Intensities are scaled so that the largest is 100.

Principal peaks in the range 10° ≤ 2θ ≤ 80°, by angle:
hkl 1 1 1, 2θ = 26.79°, intensity 100
hkl 2 0 0, 2θ = 31.03°, intensity 52
hkl 2 2 0, 2θ = 44.46°, intensity 79
hkl 3 1 1, 2θ = 52.67°, intensity 51
hkl 2 2 2, 2θ = 55.21°, intensity 15
hkl 4 0 0, 2θ = 64.69°, intensity 12
hkl 3 3 1, 2θ = 71.33°, intensity 22
hkl 4 2 0, 2θ = 73.48°, intensity 20

Cell and atoms:
```
data_BiF3
_chemical_formula_sum 'Bi4 F12'
_cell_length_a 5.7637
_cell_length_b 5.7637
_cell_length_c 5.7637
_cell_angle_alpha 90.00
_cell_angle_beta 90.00
_cell_angle_gamma 90.00
_space_group_name_H-M_alt 'P -4 3 m'
_space_group_IT_number 215
_space_group_name_Hall 'P -4 2 3'
loop_
_atom_site_label
_atom_site_type_symbol
_atom_site_fract_x
_atom_site_fract_y
_atom_site_fract_z
Bi1 Bi 0.2476 0.2476 0.2476
F1 F 0.0000 0.0000 0.0000
F2 F 0.0000 0.0000 0.5000
F3 F 0.0000 0.5000 0.5000
F4 F 0.2451 0.2451 0.7549
F5 F 0.5000 0.5000 0.5000
```

---

No. 3
Diffraction record for NaGe3P3. The XRD peak list is computed, not measured: it uses a DFT-relaxed cell (GGA-PBE, the Materials Project) and a wavelength of 1.5418 Å.
Intensities are scaled so that the largest is 100.

Principal peaks in the range 10° ≤ 2θ ≤ 80°, by angle:
hkl 0 1 0, 2θ = 10.49°, intensity 74
hkl 0 1 1, 2θ = 13.51°, intensity 66
hkl 0 2 2, 2θ = 27.22°, intensity 39
hkl 0 1 3, 2θ = 27.85°, intensity 78
hkl 1 0 2, 2θ = 29.81°, intensity 100
hkl 1 1 2, 2θ = 31.68°, intensity 49
hkl 0 3 2, 2θ = 36.32°, intensity 43
hkl 1 2 4, 2θ = 48.00°, intensity 40

Cell and atoms:
```
data_NaGe3P3
_chemical_formula_sum 'Na2 Ge6 P6'
_cell_length_a 3.6660
_cell_length_b 8.4337
_cell_length_c 10.4092
_cell_angle_alpha 90.00
_cell_angle_beta 90.00
_cell_angle_gamma 90.00
_space_group_name_H-M_alt 'P m c 21'
_space_group_IT_number 26
loop_
_space_group_symop_operation_xyz
'x,y,z'
'-x,-y,z+1/2'
'-x,y,z'
'x,-y,z+1/2'
loop_
_atom_site_label
_atom_site_type_symbol
_atom_site_fract_x
_atom_site_fract_y
_atom_site_fract_z
Na1 Na 0.0000 0.1296 0.0000
Ge1 Ge 0.0000 0.2074 0.7169
Ge2 Ge 0.0000 0.4990 0.1446
Ge3 Ge 0.5000 0.3145 0.4115
P1 P 0.0000 0.2655 0.2746
P2 P 0.5000 0.1289 0.5790
P3 P 0.5000 0.4316 0.0052
```

---

No. 4
Diffraction record for CeSe. The XRD peak list is computed, not measured: it uses a DFT-relaxed cell (GGA-PBE, the Materials Project) and a wavelength of 1.5418 Å.
Intensities are scaled so that the largest is 100.

Principal peaks in the range 10° ≤ 2θ ≤ 80°, by angle:
hkl 1 0 0, 2θ = 24.40°, intensity 9
hkl 1 1 0, 2θ = 34.78°, intensity 100
hkl 1 1 1, 2θ = 42.95°, intensity 3
hkl 2 0 0, 2θ = 50.01°, intensity 18
hkl 2 1 0, 2θ = 56.41°, intensity 4
hkl 2 1 1, 2θ = 62.36°, intensity 36
hkl 2 2 0, 2θ = 73.42°, intensity 11
hkl 3 0 0, 2θ = 78.70°, intensity 2

Cell and atoms:
```
data_CeSe
_chemical_formula_sum 'Ce1 Se1'
_cell_length_a 3.6476
_cell_length_b 3.6476
_cell_length_c 3.6476
_cell_angle_alpha 90.00
_cell_angle_beta 90.00
_cell_angle_gamma 90.00
_space_group_name_H-M_alt 'P m -3 m'
_space_group_IT_number 221
_space_group_name_Hall '-P 4 2 3'
loop_
_atom_site_label
_atom_site_type_symbol
_atom_site_fract_x
_atom_site_fract_y
_atom_site_fract_z
Ce1 Ce 0.0000 0.0000 0.0000
Se1 Se 0.5000 0.5000 0.5000
```

---

> Which formula does entry 2 have?

BiF3